[1]
Diffraction record for RbYMg14. The powder diffractogram is calculated, not measured: it uses the GGA-PBE geometry in the Materials Project and CuKα.
Intensities are scaled so that the largest is 100.

Top 8 peaks for 2θ from 10° to 90°, by intensity:
| 2θ (°) | I_rel |
| --- | --- |
| 35.3 | 100 |
| 35.4 | 48 |
| 33.7 | 36 |
| 61.3 | 28 |
| 30.9 | 27 |
| 46.4 | 26 |
| 17.5 | 20 |
| 66.2 | 19 |

Structure:
```
RbYMg14
1.0
10.6510 0.0000 0.0000
0.0000 3.3428 5.7580
0.0000 -3.3428 5.7580
Rb Y Mg
1 1 14
Direct
0.0000 0.0000 0.0000
0.0000 0.4946 0.4946
0.0000 0.5037 0.9980
0.0000 0.9980 0.5037
0.2508 0.6662 0.6662
0.2616 0.1730 0.1730
0.2650 0.1718 0.6539
0.2650 0.6539 0.1718
0.5000 0.4991 0.9980
0.5000 0.5008 0.5008
0.5000 0.9980 0.4991
0.5000 0.9995 0.9995
0.7350 0.1718 0.6539
0.7350 0.6539 0.1718
0.7384 0.1730 0.1730
0.7492 0.6662 0.6662
```

[2]
Diffraction record for Cs3Sb2Cl9. The powder diffractogram is calculated, not measured: it uses the GGA-PBE geometry in the Materials Project and CuKα.
Intensities are scaled so that the largest is 100.

Top 8 peaks for 2θ from 10° to 90°, by intensity:
| 2θ (°) | I_rel |
| --- | --- |
| 22.8 | 100 |
| 32.4 | 66 |
| 40.0 | 50 |
| 46.5 | 45 |
| 28.0 | 34 |
| 63.0 | 26 |
| 52.4 | 24 |
| 77.2 | 16 |

Structure:
```
Cs3Sb2Cl9
1.0
7.8093 0.0000 0.0000
-3.9046 6.7630 0.0000
0.0000 0.0000 9.5738
Cs Sb Cl
3 2 9
Direct
0.0000 0.0000 0.0000
0.3333 0.6667 0.3257
0.6667 0.3333 0.6743
0.3333 0.6667 0.8201
0.6667 0.3333 0.1799
0.0000 0.4699 0.0000
0.1526 0.7967 0.6747
0.2033 0.3560 0.6747
0.3560 0.2033 0.3253
0.4699 0.0000 0.0000
0.5301 0.5301 0.0000
0.6440 0.8474 0.6747
0.7967 0.1526 0.3253
0.8474 0.6440 0.3253
```

[3]
Diffraction record for MgTe4Mo2W2Se2S2. The powder diffractogram is calculated, not measured: it uses the GGA-PBE geometry in the Materials Project and CuKα.
Intensities are scaled so that the largest is 100.

Top 8 peaks for 2θ from 10° to 90°, by intensity:
| 2θ (°) | I_rel |
| --- | --- |
| 40.0 | 100 |
| 34.3 | 77 |
| 30.3 | 44 |
| 37.5 | 38 |
| 53.9 | 36 |
| 11.6 | 31 |
| 31.9 | 27 |
| 36.3 | 24 |

Structure:
```
MgTe4Mo2W2Se2S2
1.0
3.4018 0.0000 0.0000
-1.7009 2.9460 0.0000
0.0000 0.0000 45.5791
Mg Te Mo W Se S
1 4 2 2 2 2
Direct
0.0000 0.0000 0.0000
0.3333 0.6667 0.4162
0.3333 0.6667 0.4988
0.6667 0.3333 0.8458
0.6667 0.3333 0.9286
0.3333 0.6667 0.2696
0.6667 0.3333 0.0888
0.3333 0.6667 0.8871
0.6667 0.3333 0.4575
0.6667 0.3333 0.2334
0.6667 0.3333 0.3057
0.3333 0.6667 0.0555
0.3333 0.6667 0.1215
```

[4]
Diffraction record for NbMoS3. The powder diffractogram is calculated, not measured: it uses the GGA-PBE geometry in the Materials Project and CuKα.
Intensities are scaled so that the largest is 100.

Top 8 peaks for 2θ from 10° to 90°, by intensity:
| 2θ (°) | I_rel |
| --- | --- |
| 15.7 | 100 |
| 41.9 | 70 |
| 39.7 | 44 |
| 31.0 | 34 |
| 40.4 | 33 |
| 51.9 | 33 |
| 34.5 | 30 |
| 20.8 | 28 |

Structure:
```
NbMoS3
1.0
6.2691 0.0000 0.0000
0.0000 3.2821 0.0000
-2.1565 0.0000 8.5318
Nb Mo S
2 2 6
Direct
0.1910 0.2500 0.4936
0.8090 0.7500 0.5064
0.3870 0.2500 0.8764
0.6130 0.7500 0.1236
0.0069 0.7500 0.2977
0.2316 0.7500 0.0141
0.4707 0.7500 0.6641
0.5293 0.2500 0.3359
0.7684 0.2500 0.9859
0.9931 0.2500 0.7023
```

[5]
Diffraction record for LiSnPCO7. The powder diffractogram is calculated, not measured: it uses the GGA-PBE geometry in the Materials Project and CuKα.
Intensities are scaled so that the largest is 100.

Top 8 peaks for 2θ from 10° to 90°, by intensity:
| 2θ (°) | I_rel |
| --- | --- |
| 16.8 | 100 |
| 27.2 | 91 |
| 20.3 | 64 |
| 21.8 | 51 |
| 25.3 | 50 |
| 19.1 | 45 |
| 38.4 | 27 |
| 45.0 | 23 |

Structure:
```
LiSnPCO7
1.0
5.2344 0.0000 0.0000
0.0000 6.5483 0.0000
-0.6159 0.0000 8.9356
Li Sn P C O
2 2 2 2 14
Direct
0.2348 0.0000 0.3384
0.7652 0.5000 0.6616
0.2111 0.2795 0.8424
0.7889 0.7795 0.1576
0.2693 0.7822 0.9285
0.7307 0.2822 0.0715
0.2728 0.2911 0.5617
0.7272 0.7911 0.4383
0.0430 0.2935 0.6188
0.1518 0.7906 0.0833
0.1705 0.5957 0.8375
0.1974 0.9684 0.8298
0.3094 0.2611 0.4283
0.4338 0.2692 0.0388
0.4639 0.3146 0.6694
0.5361 0.8146 0.3306
0.5662 0.7692 0.9612
0.6906 0.7611 0.5717
0.8026 0.4684 0.1702
0.8295 0.0957 0.1625
0.8482 0.2906 0.9167
0.9570 0.7935 0.3812
```

[6]
Diffraction record for CsHo2Ag3Te5. The powder diffractogram is calculated, not measured: it uses the GGA-PBE geometry in the Materials Project and CuKα.
Intensities are scaled so that the largest is 100.

Top 8 peaks for 2θ from 10° to 90°, by intensity:
| 2θ (°) | I_rel |
| --- | --- |
| 38.5 | 100 |
| 26.9 | 92 |
| 25.5 | 89 |
| 42.4 | 89 |
| 28.7 | 77 |
| 33.4 | 74 |
| 31.7 | 71 |
| 34.8 | 60 |

Structure:
```
CsHo2Ag3Te5
1.0
2.3355 -8.2035 0.0000
2.3355 8.2035 0.0000
0.0000 0.0000 18.6381
Cs Ho Ag Te
2 4 6 10
Direct
0.0580 0.9420 0.7500
0.9420 0.0580 0.2500
0.1930 0.8070 0.0945
0.1930 0.8070 0.4055
0.8070 0.1930 0.5945
0.8070 0.1930 0.9055
0.3414 0.6586 0.7500
0.4181 0.5819 0.0370
0.4181 0.5819 0.4630
0.5819 0.4181 0.5370
0.5819 0.4181 0.9630
0.6586 0.3414 0.2500
0.1813 0.8187 0.5695
0.1813 0.8187 0.9305
0.2550 0.7450 0.2500
0.4318 0.5682 0.6172
0.4318 0.5682 0.8828
0.5682 0.4318 0.1172
0.5682 0.4318 0.3828
0.7450 0.2550 0.7500
0.8187 0.1813 0.0695
0.8187 0.1813 0.4305
```

[7]
Diffraction record for Li2CoCl4. The powder diffractogram is calculated, not measured: it uses the GGA-PBE geometry in the Materials Project and CuKα.
Intensities are scaled so that the largest is 100.

Top 8 peaks for 2θ from 10° to 90°, by intensity:
| 2θ (°) | I_rel |
| --- | --- |
| 15.0 | 100 |
| 34.3 | 69 |
| 34.6 | 68 |
| 35.4 | 62 |
| 50.1 | 40 |
| 14.7 | 24 |
| 30.2 | 22 |
| 48.9 | 21 |

Structure:
```
Li2CoCl4
1.0
7.2229 0.0000 0.0000
3.4568 6.4366 0.0000
0.2097 0.1486 17.7697
Li Co Cl
12 6 24
Direct
0.0000 0.0000 0.0000
0.0485 0.9001 0.5130
0.1580 0.6857 0.1657
0.2725 0.1159 0.1509
0.3262 0.8473 0.3313
0.3824 0.2455 0.8454
0.4926 0.0140 0.4977
0.6092 0.4583 0.4836
0.6587 0.1816 0.6648
0.7099 0.5808 0.1768
0.8276 0.3416 0.8296
0.9437 0.7916 0.8164
0.1781 0.1731 0.6621
0.3338 0.3301 0.3334
0.5085 0.5051 0.9960
0.6687 0.6644 0.6666
0.8446 0.8376 0.3289
0.9947 0.5126 0.9979
0.0037 0.9851 0.2518
0.0075 0.5144 0.2552
0.1372 0.2096 0.9207
0.1574 0.6707 0.4074
0.1750 0.6596 0.9205
0.1884 0.1711 0.4102
0.3135 0.3639 0.0723
0.3383 0.3176 0.5863
0.3399 0.8159 0.0787
0.3401 0.8478 0.5876
0.4709 0.5117 0.2530
0.4902 0.0039 0.7410
0.5078 0.0126 0.2546
0.5226 0.5065 0.7437
0.6583 0.7033 0.4088
0.6593 0.1662 0.4084
0.6663 0.1927 0.9189
0.6838 0.6544 0.9230
0.8035 0.8473 0.5869
0.8277 0.3469 0.0740
0.8411 0.3449 0.5886
0.8520 0.8016 0.0786
0.9893 0.5020 0.7409
0.9931 0.0361 0.7432
```

[8]
Diffraction record for CeMg14Cd. The powder diffractogram is calculated, not measured: it uses the GGA-PBE geometry in the Materials Project and CuKα.
Intensities are scaled so that the largest is 100.

Top 8 peaks for 2θ from 10° to 90°, by intensity:
| 2θ (°) | I_rel |
| --- | --- |
| 36.5 | 100 |
| 18.0 | 27 |
| 34.8 | 24 |
| 63.6 | 21 |
| 32.0 | 20 |
| 48.0 | 19 |
| 15.8 | 18 |
| 23.4 | 15 |

Structure:
```
CeMg14Cd
1.0
10.3014 0.0000 0.0000
0.0000 3.2270 5.6146
0.0000 -3.2270 5.6146
Ce Mg Cd
1 14 1
Direct
0.0000 0.0000 0.0000
0.0000 0.0061 0.4959
0.0000 0.4959 0.0061
0.2466 0.6660 0.6660
0.2534 0.1671 0.6635
0.2534 0.6635 0.1671
0.2541 0.1672 0.1672
0.5000 0.9997 0.4993
0.5000 0.4993 0.9997
0.5000 0.4993 0.4993
0.5000 0.9994 0.9994
0.7459 0.1672 0.1672
0.7466 0.1671 0.6635
0.7466 0.6635 0.1671
0.7534 0.6660 0.6660
0.0000 0.4963 0.4963
```